Structure and calculated XRD peak list of Ca2Al2FeSi3HO13 (DFT lattice parameters and positions (PBE+U); λ = 1.5418 Å (Cu Kα)).
No peak broadening, texture or thermal motion is included.

Atomic structure:
a = 9.0137 Å, b = 5.7098 Å, c = 10.2538 Å
α = 90.00°, β = 115.39°, γ = 90.00°
Fractional positions:
Ca 0.1079 0.2500 0.4246
Ca 0.2541 0.2500 0.1510
Ca 0.7459 0.7500 0.8490
Ca 0.8921 0.7500 0.5754
Al 0.5000 0.0000 0.0000
Al 0.5000 0.0000 0.5000
Al 0.5000 0.5000 0.0000
Al 0.5000 0.5000 0.5000
Fe 0.2058 0.2500 0.7764
Fe 0.7942 0.7500 0.2236
Si 0.1610 0.7500 0.9519
Si 0.1860 0.7500 0.2745
Si 0.3161 0.7500 0.6810
Si 0.6839 0.2500 0.3190
Si 0.8140 0.2500 0.7255
Si 0.8390 0.2500 0.0481
H 0.4439 0.2500 0.6738
H 0.5561 0.7500 0.3262
O 0.0143 0.2500 0.1822
O 0.0287 0.7500 0.3108
O 0.1254 0.7500 0.0977
O 0.1961 0.5187 0.6429
O 0.1961 0.9813 0.6429
O 0.2672 0.5064 0.9603
O 0.2672 0.9936 0.9603
O 0.2968 0.5138 0.3380
O 0.2968 0.9862 0.3380
O 0.4161 0.2500 0.5698
O 0.4322 0.7500 0.5916
O 0.4486 0.2500 0.8716
O 0.4580 0.7500 0.8541
O 0.5420 0.2500 0.1459
O 0.5514 0.7500 0.1284
O 0.5678 0.2500 0.4084
O 0.5839 0.7500 0.4302
O 0.7032 0.0138 0.6620
O 0.7032 0.4862 0.6620
O 0.7328 0.0064 0.0397
O 0.7328 0.4936 0.0397
O 0.8039 0.0187 0.3571
O 0.8039 0.4813 0.3571
O 0.8746 0.2500 0.9023
O 0.9713 0.2500 0.6892
O 0.9857 0.7500 0.8178

The 8 most intense peaks (2θ from 5° to 70°), sorted by position:
2θ = 17.5°, intensity 28.3; 2θ = 25.2°, intensity 35.8; 2θ = 30.5°, intensity 100.0; 2θ = 31.3°, intensity 44.4; 2θ = 33.0°, intensity 54.3; 2θ = 34.0°, intensity 45.7; 2θ = 37.0°, intensity 61.8; 2θ = 55.3°, intensity 27.1